Starting from a DFT-relaxed cell (GGA-PBE, Alexandria), the powder XRD pattern of Pu2PbO11 was computed for Cu Ka.
Kinematic intensities with the Lorentz-polarization factor, no thermal factor.

Structure:
Cell lengths 8.6762, 8.7387, 8.7393 Å; angles 61.83, 60.70, 73.05 degrees
Fractional coordinates of all 28 atoms:
Pu 0.0000 0.0000 0.0000
Pu 0.0022 0.0398 0.4629
Pu 0.4856 0.5367 0.4722
Pu 0.5034 0.5310 0.9332
Pb 0.4951 0.0282 0.4774
Pb 0.9938 0.5257 0.9595
O 0.0172 0.7709 0.0391
O 0.0238 0.8397 0.6633
O 0.1573 0.9041 0.2124
O 0.1876 0.7225 0.3005
O 0.1986 0.0421 0.7717
O 0.2193 0.0991 0.3977
O 0.2528 0.5088 0.6585
O 0.2782 0.4826 0.0026
O 0.3569 0.6639 0.2202
O 0.4651 0.7626 0.7826
O 0.4667 0.7657 0.4422
O 0.5159 0.3030 0.5136
O 0.5300 0.3193 0.1201
O 0.5761 0.4749 0.6885
O 0.6950 0.5717 0.2518
O 0.7375 0.5622 0.8534
O 0.7703 0.1161 0.8539
O 0.7833 0.9816 0.5324
O 0.7891 0.9659 0.2150
O 0.8089 0.2169 0.6818
O 0.9741 0.2469 0.2739
O 0.9875 0.2278 0.9630

Most intense lines, 2θ = 10–80°, low angle first:
5.606 Å, 2θ = 15.81°, rel. 61.3, (1 1 0); 4.374 Å, 2θ = 20.30°, rel. 44.0, (1 1 2); 3.840 Å, 2θ = 23.16°, rel. 100.0, (0 2 0); 3.771 Å, 2θ = 23.59°, rel. 96.2, (2 0 0); 3.501 Å, 2θ = 25.44°, rel. 68.6, (0 0 2); 3.392 Å, 2θ = 26.27°, rel. 67.8, (2 2 2); 3.357 Å, 2θ = 26.55°, rel. 76.4, (2 0 2); 3.321 Å, 2θ = 26.84°, rel. 77.5, (0 2 2); 2.804 Å, 2θ = 31.92°, rel. 37.4, (2 2 0); 2.062 Å, 2θ = 43.91°, rel. 38.3, (0 4 2)